No. 1
Diffraction record for Tb2HoIn3Ni3. The powder diffraction line list is calculated, not measured: it uses the GGA-PBE geometry in OQMD and Cu Kα (weighted mean of Kα1 and Kα2).
Neutral-atom scattering factors, no anomalous dispersion.

Cell and atoms:
```
9
Lattice="3.804 0.000 0.000 0.000 6.436 3.715 0.000 -6.436 3.715" Properties=species:S:1:pos:R:3 pbc="T T T"
Tb 0.000 -3.791 3.715
Tb 0.000 3.791 3.715
Ho 0.000 0.000 2.852
In 1.902 0.000 0.370
In 1.902 -1.632 4.954
In 1.902 1.632 4.954
Ni 0.000 0.000 5.899
Ni 1.902 -2.137 2.190
Ni 1.902 2.137 2.190
```

Largest 12 diffraction maxima, by angle, 10° ≤ 2θ ≤ 90°:
two_theta	d [Å]	I_rel
33.7	2.658	100
36.6	2.457	73
37.0	2.432	53
42.1	2.145	23
44.2	2.049	10
47.8	1.902	20
51.2	1.785	15
57.0	1.616	23
61.9	1.498	23
65.6	1.423	12
68.1	1.376	24
72.6	1.302	10

---

No. 2
Diffraction record for Gd3HfSi4. The powder diffraction line list is calculated, not measured: it uses the GGA-PBE geometry in OQMD and Cu Kα (weighted mean of Kα1 and Kα2).
Neutral-atom scattering factors, no anomalous dispersion.

Cell and atoms:
```
8
Lattice="5.633 0.000 0.000 0.000 3.816 0.000 -0.139 0.000 7.752" Properties=species:S:1:pos:R:3 pbc="T T T"
Gd 0.000 0.000 0.000
Gd 1.302 1.908 2.794
Gd 2.723 1.908 6.636
Hf 4.089 0.000 3.863
Si 1.319 0.000 4.939
Si 2.774 0.000 1.152
Si 4.210 1.908 1.800
Si 5.428 1.908 5.472
```

Largest 12 diffraction maxima, by angle, 10° ≤ 2θ ≤ 90°:
two_theta	d [Å]	I_rel
22.9	3.876	37
28.2	3.161	80
30.4	2.936	69
30.7	2.915	65
32.9	2.719	100
33.7	2.662	57
34.1	2.632	56
36.9	2.437	33
38.1	2.365	30
38.6	2.333	28
41.4	2.183	28
47.7	1.908	34

---

No. 3
Diffraction record for Nb3AuC2. The powder diffraction line list is calculated, not measured: it uses the GGA-PBE geometry in OQMD and Cu Kα (weighted mean of Kα1 and Kα2).
Neutral-atom scattering factors, no anomalous dispersion.

Cell and atoms:
```
12
Lattice="3.221 0.000 0.000 -1.610 2.789 0.000 0.000 0.000 18.814" Properties=species:S:1:pos:R:3 pbc="T T T"
Nb 0.000 0.000 0.000
Nb 0.000 0.000 9.407
Nb 0.000 1.860 2.428
Nb 0.000 1.860 6.979
Nb 1.610 0.930 11.835
Nb 1.610 0.930 16.386
Au 0.000 0.000 4.704
Au 0.000 0.000 14.111
C 0.000 1.860 10.757
C 0.000 1.860 17.464
C 1.610 0.930 1.350
C 1.610 0.930 8.057
```

Largest 12 diffraction maxima, by angle, 10° ≤ 2θ ≤ 90°:
two_theta	d [Å]	I_rel
32.1	2.789	17
32.4	2.759	12
33.5	2.674	10
35.2	2.549	6
37.5	2.399	100
38.3	2.352	22
40.2	2.241	11
50.8	1.798	12
57.2	1.610	24
68.7	1.367	16
70.4	1.337	16
70.9	1.329	22

---

No. 4
Diffraction record for Re3Ge7. The powder diffraction line list is calculated, not measured: it uses the GGA-PBE geometry in OQMD and Cu Kα (weighted mean of Kα1 and Kα2).
Neutral-atom scattering factors, no anomalous dispersion.

Cell and atoms:
```
20
Lattice="1.628 -4.558 0.000 1.628 4.558 0.000 0.000 0.000 22.085" Properties=species:S:1:pos:R:3 pbc="T T T"
Re 1.628 4.375 16.563
Re 1.628 0.668 1.312
Re 1.628 0.668 9.730
Re 1.628 -0.668 12.354
Re 1.628 -0.668 20.773
Re 1.628 -4.375 5.521
Ge 1.628 3.226 0.709
Ge 1.628 3.226 10.333
Ge 1.628 2.958 14.062
Ge 1.628 2.958 19.065
Ge 1.628 2.168 5.521
Ge 1.628 0.544 14.626
Ge 1.628 0.544 18.500
Ge 1.628 -0.544 3.584
Ge 1.628 -0.544 7.458
Ge 1.628 -2.168 16.563
Ge 1.628 -2.958 3.019
Ge 1.628 -2.958 8.023
Ge 1.628 -3.226 11.752
Ge 1.628 -3.226 21.375
```

Largest 12 diffraction maxima, by angle, 10° ≤ 2θ ≤ 90°:
two_theta	d [Å]	I_rel
19.5	4.558	45
30.2	2.955	51
33.4	2.681	27
35.6	2.519	100
40.4	2.232	27
40.9	2.209	54
41.5	2.178	34
42.5	2.127	66
44.1	2.052	84
44.7	2.025	62
45.7	1.985	36
56.5	1.628	33

---

No. 5
Diffraction record for Ta13Al16. The powder diffraction line list is calculated, not measured: it uses the GGA-PBE geometry in OQMD and Cu Kα (weighted mean of Kα1 and Kα2).
Neutral-atom scattering factors, no anomalous dispersion.

Cell and atoms:
```
29
Lattice="-4.983 4.983 4.983 4.983 -4.983 4.983 4.983 4.983 -4.983" Properties=species:S:1:pos:R:3 pbc="T T T"
Ta 0.000 0.000 0.000
Ta 5.337 1.479 -1.479
Ta 5.337 -1.479 1.479
Ta 4.630 1.479 1.479
Ta 3.504 3.504 -0.353
Ta 3.504 -0.353 3.504
Ta 1.479 5.337 -1.479
Ta 1.479 -1.479 5.337
Ta 1.479 4.630 1.479
Ta 1.479 1.479 4.630
Ta -1.479 5.337 1.479
Ta -1.479 1.479 5.337
Ta -0.353 3.504 3.504
Al 3.272 3.272 -3.272
Al 2.741 0.886 -0.886
Al 2.741 -0.886 0.886
Al 3.272 -3.272 3.272
Al 7.226 0.886 0.886
Al 0.886 2.741 -0.886
Al 0.886 -0.886 2.741
Al 1.712 1.712 1.712
Al -0.886 2.741 0.886
Al -0.886 0.886 2.741
Al 4.098 4.098 2.242
Al 4.098 2.242 4.098
Al -3.272 3.272 3.272
Al 0.886 7.226 0.886
Al 0.886 0.886 7.226
Al 2.242 4.098 4.098
```

Largest 12 diffraction maxima, by angle, 10° ≤ 2θ ≤ 90°:
two_theta	d [Å]	I_rel
12.6	7.048	20
21.8	4.069	34
31.1	2.877	9
33.6	2.664	9
38.3	2.349	100
42.5	2.125	7
44.5	2.034	7
46.5	1.955	11
55.3	1.661	12
69.3	1.356	31
77.9	1.227	7
82.0	1.175	7

---

No. 6
Diffraction record for ZrSc2Si4Ni4. The powder diffraction line list is calculated, not measured: it uses the GGA-PBE geometry in OQMD and Cu Kα (weighted mean of Kα1 and Kα2).
Neutral-atom scattering factors, no anomalous dispersion.

Cell and atoms:
```
11
Lattice="-1.921 3.216 6.339 1.921 -3.216 6.339 1.921 3.216 -6.339" Properties=species:S:1:pos:R:3 pbc="T T T"
Zr 0.000 0.000 0.000
Sc 1.921 0.000 4.745
Sc 0.000 3.216 1.594
Si 0.000 0.000 2.768
Si 1.921 1.974 0.000
Si 0.000 1.242 6.339
Si 0.000 0.000 9.909
Ni 1.921 1.267 -2.241
Ni 1.921 1.267 2.241
Ni 0.000 1.949 4.097
Ni 0.000 1.949 8.580
```

Largest 12 diffraction maxima, by angle, 10° ≤ 2θ ≤ 90°:
two_theta	d [Å]	I_rel
30.6	2.926	24
31.5	2.842	33
37.1	2.421	100
38.2	2.359	31
39.4	2.285	65
42.4	2.130	19
42.8	2.114	36
47.3	1.921	41
47.6	1.912	40
51.7	1.768	36
65.7	1.421	22
69.3	1.355	24

---

No. 7
Diffraction record for Pr2DyMg3ZnIn2. The powder diffraction line list is calculated, not measured: it uses the GGA-PBE geometry in OQMD and Cu Kα (weighted mean of Kα1 and Kα2).
Neutral-atom scattering factors, no anomalous dispersion.

Cell and atoms:
```
9
Lattice="4.689 0.000 0.000 0.000 6.516 3.834 0.000 -6.516 3.834" Properties=species:S:1:pos:R:3 pbc="T T T"
Pr 0.000 -3.847 3.834
Pr 0.000 3.847 3.834
Dy 0.000 0.000 2.955
Mg 2.345 0.000 0.204
Mg 2.345 -1.536 5.171
Mg 2.345 1.536 5.171
Zn 0.000 0.000 6.009
In 2.345 -2.120 2.266
In 2.345 2.120 2.266
```

Largest 12 diffraction maxima, by angle, 10° ≤ 2θ ≤ 90°:
two_theta	d [Å]	I_rel
13.4	6.608	26
23.5	3.780	28
30.1	2.968	46
30.4	2.943	100
33.2	2.701	76
33.5	2.676	44
38.4	2.345	39
41.0	2.203	24
53.5	1.712	18
53.9	1.700	17
64.4	1.448	22
65.1	1.433	19

---

No. 8
Diffraction record for SmTmGe2Os. The powder diffraction line list is calculated, not measured: it uses the GGA-PBE geometry in OQMD and Cu Kα (weighted mean of Kα1 and Kα2).
Neutral-atom scattering factors, no anomalous dispersion.

Cell and atoms:
```
10
Lattice="5.382 -2.155 0.000 5.382 2.155 0.000 -4.817 0.000 9.025" Properties=species:S:1:pos:R:3 pbc="T T T"
Sm 1.464 0.000 1.023
Sm 4.483 0.000 8.002
Tm -1.575 0.000 2.975
Tm 7.522 0.000 6.050
Ge 1.747 0.000 3.945
Ge 4.649 0.000 1.168
Ge 1.298 0.000 7.857
Ge 4.200 0.000 5.081
Os -0.114 0.000 5.664
Os 6.062 0.000 3.362
```

Largest 12 diffraction maxima, by angle, 10° ≤ 2θ ≤ 90°:
two_theta	d [Å]	I_rel
27.1	3.296	30
32.6	2.743	34
33.0	2.712	93
33.1	2.702	68
33.8	2.650	34
36.5	2.460	87
37.9	2.374	23
40.0	2.256	40
40.2	2.244	100
41.9	2.155	67
59.3	1.558	26
64.3	1.448	32

---

Copy entry 1 word for word.
Diffraction record for Tb2HoIn3Ni3. The powder diffraction line list is calculated, not measured: it uses the GGA-PBE geometry in OQMD and Cu Kα (weighted mean of Kα1 and Kα2).
Neutral-atom scattering factors, no anomalous dispersion.

Cell and atoms:
```
9
Lattice="3.804 0.000 0.000 0.000 6.436 3.715 0.000 -6.436 3.715" Properties=species:S:1:pos:R:3 pbc="T T T"
Tb 0.000 -3.791 3.715
Tb 0.000 3.791 3.715
Ho 0.000 0.000 2.852
In 1.902 0.000 0.370
In 1.902 -1.632 4.954
In 1.902 1.632 4.954
Ni 0.000 0.000 5.899
Ni 1.902 -2.137 2.190
Ni 1.902 2.137 2.190
```

Largest 12 diffraction maxima, by angle, 10° ≤ 2θ ≤ 90°:
two_theta	d [Å]	I_rel
33.7	2.658	100
36.6	2.457	73
37.0	2.432	53
42.1	2.145	23
44.2	2.049	10
47.8	1.902	20
51.2	1.785	15
57.0	1.616	23
61.9	1.498	23
65.6	1.423	12
68.1	1.376	24
72.6	1.302	10